Entry 1:
Starting from a cell relaxed with GGA-PBE, the powder diffraction line list of TaReO6 was computed for copper Kα.
Peak positions follow from Bragg's law for the DFT cell and can differ from measured ones.

The 10 most intense peaks (2θ from 10° to 90°), low angle first:
h k l	d/Å	I_rel
1 0 -1	3.854	100
0 2 0	3.822	49
0 0 2	2.736	14
1 2 1	2.714	69
0 2 2	2.225	11
2 2 0	2.213	11
2 2 -2	1.723	10
2 2 2	1.719	15
1 4 1	1.712	20
0 4 2	1.567	12

Structure:
```
data_TaReO6
_symmetry_space_group_name_H-M 'P 1 21/m 1'
_symmetry_Int_Tables_number 11
_symmetry_space_group_name_Hall '-P 2yb'
_cell_length_a 5.428
_cell_length_b 7.644
_cell_length_c 5.472
_cell_angle_alpha 90.00
_cell_angle_beta 90.20
_cell_angle_gamma 90.00
loop_
_atom_site_label
_atom_site_fract_x
_atom_site_fract_y
_atom_site_fract_z
Ta1 0.000 0.000 0.000
Re1 0.500 0.000 0.500
O1 0.050 0.250 0.011
O2 0.259 0.517 0.740
O3 0.259 0.527 0.259
O4 0.456 0.250 0.490
```

=====

Entry 2:
Starting from a cell relaxed with GGA-PBE, the powder diffraction line list of Tb6ReO12 was computed for copper Kα.
Peak positions follow from Bragg's law for the DFT cell and can differ from measured ones.

The 10 most intense peaks (2θ from 10° to 90°), low angle first:
h k l	d/Å	I_rel
0 0 3	3.143	31
2 1 1	3.059	100
3 -2 2	2.667	46
2 1 4	1.905	26
1 4 0	1.867	27
3 -2 5	1.629	11
1 4 3	1.605	24
6 -4 1	1.594	13
4 2 2	1.530	10
3 5 1	1.212	9

Structure:
```
data_Tb6ReO12
_symmetry_space_group_name_H-M 'R -3'
_symmetry_Int_Tables_number 148
_symmetry_space_group_name_Hall '-R 3'
_cell_length_a 9.8814
_cell_length_b 9.8814
_cell_length_c 9.4295
_cell_angle_alpha 90.00
_cell_angle_beta 90.00
_cell_angle_gamma 120.00
loop_
_atom_site_label
_atom_site_fract_x
_atom_site_fract_y
_atom_site_fract_z
Tb1 0.0422 0.2545 0.1437
Re1 0.0000 0.0000 0.5000
O1 0.0333 0.2234 0.9008
O2 0.0372 0.1836 0.3892
```

=====

Entry 3:
Starting from a cell relaxed with GGA-PBE, the powder diffraction line list of TbRe2O8 was computed for copper Kα.
Peak positions follow from Bragg's law for the DFT cell and can differ from measured ones.

The 10 most intense peaks (2θ from 10° to 90°), low angle first:
h k l	d/Å	I_rel
1 1 1	5.535	29
2 0 0	4.794	24
2 2 0	3.390	100
4 0 0	2.397	12
3 3 1	2.199	11
4 2 2	1.957	42
4 4 0	1.695	18
6 2 0	1.516	18
6 4 2	1.281	23
6 6 0	1.130	12

Structure:
```
data_TbRe2O8
_symmetry_space_group_name_H-M 'F m -3 m'
_symmetry_Int_Tables_number 225
_symmetry_space_group_name_Hall '-F 4 2 3'
_cell_length_a 9.587
_cell_length_b 9.587
_cell_length_c 9.587
_cell_angle_alpha 90.00
_cell_angle_beta 90.00
_cell_angle_gamma 90.00
loop_
_atom_site_label
_atom_site_fract_x
_atom_site_fract_y
_atom_site_fract_z
Tb1 0.000 0.000 0.000
Re1 0.250 0.250 0.250
O1 0.144 0.144 0.144
```

=====

Entry 4:
Starting from a cell relaxed with GGA-PBE, the powder diffraction line list of ReTe3O was computed for copper Kα.
Peak positions follow from Bragg's law for the DFT cell and can differ from measured ones.

The 10 most intense peaks (2θ from 10° to 90°), low angle first:
h k l	d/Å	I_rel
1 0 0	4.653	2
1 1 0	3.291	5
1 1 1	2.687	100
2 0 0	2.327	56
2 1 1	1.900	2
2 2 0	1.645	38
3 1 1	1.403	41
2 2 2	1.343	13
3 2 1	1.244	1
4 0 0	1.163	6

Structure:
```
data_ReTe3O
_symmetry_space_group_name_H-M 'P m -3 m'
_symmetry_Int_Tables_number 221
_symmetry_space_group_name_Hall '-P 4 2 3'
_cell_length_a 4.653
_cell_length_b 4.653
_cell_length_c 4.653
_cell_angle_alpha 90.00
_cell_angle_beta 90.00
_cell_angle_gamma 90.00
loop_
_atom_site_label
_atom_site_fract_x
_atom_site_fract_y
_atom_site_fract_z
Re1 0.000 0.000 0.000
Te1 0.000 0.500 0.500
O1 0.500 0.500 0.500
```

=====

What did the second record say?
Starting from a cell relaxed with GGA-PBE, the powder diffraction line list of Tb6ReO12 was computed for copper Kα.
Peak positions follow from Bragg's law for the DFT cell and can differ from measured ones.

The 10 most intense peaks (2θ from 10° to 90°), low angle first:
h k l	d/Å	I_rel
0 0 3	3.143	31
2 1 1	3.059	100
3 -2 2	2.667	46
2 1 4	1.905	26
1 4 0	1.867	27
3 -2 5	1.629	11
1 4 3	1.605	24
6 -4 1	1.594	13
4 2 2	1.530	10
3 5 1	1.212	9

Structure:
```
data_Tb6ReO12
_symmetry_space_group_name_H-M 'R -3'
_symmetry_Int_Tables_number 148
_symmetry_space_group_name_Hall '-R 3'
_cell_length_a 9.8814
_cell_length_b 9.8814
_cell_length_c 9.4295
_cell_angle_alpha 90.00
_cell_angle_beta 90.00
_cell_angle_gamma 120.00
loop_
_atom_site_label
_atom_site_fract_x
_atom_site_fract_y
_atom_site_fract_z
Tb1 0.0422 0.2545 0.1437
Re1 0.0000 0.0000 0.5000
O1 0.0333 0.2234 0.9008
O2 0.0372 0.1836 0.3892
```